Entry 1:
Structure and simulated powder X-ray diffraction pattern of Li5Fe2Ni3O10 (a DFT-relaxed cell (GGA+U, Alexandria); Cu Kα X-rays).
Kinematic intensities with the Lorentz-polarization factor, no thermal factor.

Unit cell a=5.0664 b=5.1266 c=7.6127 alpha=109.49 beta=102.80 gamma=98.40
Positions (direct):
Li1 0.0000 0.0000 0.0000
Li2 0.4940 0.3931 0.2918
Li3 0.4980 0.8078 0.0915
Li4 0.5020 0.1922 0.9085
Li5 0.5060 0.6069 0.7082
Fe1 0.0064 0.4058 0.8033
Fe2 0.9936 0.5942 0.1967
Ni1 0.0010 0.8003 0.6013
Ni2 0.5000 0.0000 0.5000
Ni3 0.9990 0.1997 0.3987
O1 0.2262 0.9980 0.2591
O2 0.2274 0.6152 0.4474
O3 0.2276 0.7863 0.8320
O4 0.2294 0.2045 0.6382
O5 0.2320 0.4248 0.0471
O6 0.7680 0.5752 0.9529
O7 0.7706 0.7955 0.3618
O8 0.7724 0.2137 0.1680
O9 0.7726 0.3848 0.5526
O10 0.7738 0.0020 0.7409

Most intense lines, 10 to 90 degrees two-theta, sorted by position:
- 2θ = 12.89°, 6.868 Å, I = 70
- 2θ = 18.47°, 4.803 Å, I = 100
- 2θ = 23.13°, 3.846 Å, I = 16
- 2θ = 26.77°, 3.330 Å, I = 16
- 2θ = 37.52°, 2.397 Å, I = 21
- 2θ = 37.89°, 2.374 Å, I = 20
- 2θ = 42.82°, 2.112 Å, I = 54
- 2θ = 44.21°, 2.049 Å, I = 47
- 2θ = 44.43°, 2.039 Å, I = 46
- 2θ = 63.23°, 1.471 Å, I = 27

Entry 2:
Structure and simulated powder X-ray diffraction pattern of Li2Fe3NiO8 (a DFT-relaxed cell (GGA+U, Alexandria); Cu Kα X-rays).
Kinematic intensities with the Lorentz-polarization factor, no thermal factor.

Unit cell a=5.6925 b=5.6925 c=5.9169 alpha=119.08 beta=119.08 gamma=60.47
Positions (direct):
Li1 0.0000 0.5000 0.0000
Li2 0.5000 0.0000 0.0000
Fe1 0.0000 0.0000 0.5000
Fe2 0.0000 0.5000 0.5000
Fe3 0.5000 0.0000 0.5000
Ni1 0.5000 0.5000 0.5000
O1 0.2314 0.2314 0.7093
O2 0.2457 0.7364 0.7030
O3 0.2636 0.7543 0.2970
O4 0.2692 0.2692 0.2931
O5 0.7308 0.7308 0.7069
O6 0.7364 0.2457 0.7030
O7 0.7543 0.2636 0.2970
O8 0.7686 0.7686 0.2907

Most intense lines, 10 to 90 degrees two-theta, sorted by position:
- 2θ = 18.14°, 4.892 Å, I = 100
- 2θ = 36.77°, 2.444 Å, I = 21
- 2θ = 37.13°, 2.421 Å, I = 11
- 2θ = 38.45°, 2.341 Å, I = 9
- 2θ = 44.01°, 2.057 Å, I = 35
- 2θ = 44.57°, 2.033 Å, I = 17
- 2θ = 57.45°, 1.604 Å, I = 10
- 2θ = 63.24°, 1.470 Å, I = 9
- 2θ = 65.60°, 1.423 Å, I = 9
- 2θ = 82.29°, 1.172 Å, I = 8

Entry 3:
Structure and simulated powder X-ray diffraction pattern of Li4FeNi5O12 (a DFT-relaxed cell (GGA+U, Alexandria); Cu Kα X-rays).
Kinematic intensities with the Lorentz-polarization factor, no thermal factor.

Unit cell a=4.9450 b=4.9450 c=9.9310 alpha=93.19 beta=93.19 gamma=119.28
Positions (direct):
Li1 0.1196 0.1196 0.2553
Li2 0.2168 0.5426 0.7429
Li3 0.4574 0.7832 0.2571
Li4 0.8804 0.8804 0.7447
Fe1 0.7123 0.2877 0.0000
Ni1 0.0436 0.9564 0.0000
Ni2 0.1752 0.8248 0.5000
Ni3 0.3749 0.6251 0.0000
Ni4 0.5062 0.4938 0.5000
Ni5 0.8377 0.1623 0.5000
O1 0.0005 0.2362 0.8904
O2 0.0954 0.6812 0.1079
O3 0.1854 0.4768 0.3900
O4 0.1941 0.2000 0.6011
O5 0.3188 0.9046 0.8921
O6 0.3857 0.3074 0.0993
O7 0.4730 0.1287 0.4011
O8 0.5232 0.8146 0.6100
O9 0.6926 0.6143 0.9007
O10 0.7638 0.9995 0.1096
O11 0.8000 0.8059 0.3989
O12 0.8713 0.5270 0.5989

Most intense lines, 10 to 90 degrees two-theta, sorted by position:
- 2θ = 17.97°, 4.935 Å, I = 100
- 2θ = 36.16°, 2.484 Å, I = 9
- 2θ = 37.05°, 2.426 Å, I = 15
- 2θ = 38.06°, 2.365 Å, I = 13
- 2θ = 38.75°, 2.324 Å, I = 9
- 2θ = 42.50°, 2.127 Å, I = 9
- 2θ = 44.67°, 2.029 Å, I = 14
- 2θ = 47.22°, 1.925 Å, I = 16
- 2θ = 58.22°, 1.585 Å, I = 9
- 2θ = 64.94°, 1.436 Å, I = 8

Entry 4:
Structure and simulated powder X-ray diffraction pattern of Li5Fe5Ni2O12 (a DFT-relaxed cell (GGA+U, Alexandria); Cu Kα X-rays).
Kinematic intensities with the Lorentz-polarization factor, no thermal factor.

Unit cell a=5.1498 b=5.1498 c=9.8367 alpha=94.95 beta=94.95 gamma=119.64
Positions (direct):
Li1 0.0000 0.0000 0.0000
Li2 0.2463 0.2580 0.7603
Li3 0.4023 0.0736 0.2387
Li4 0.7420 0.7537 0.2397
Li5 0.9264 0.5977 0.7613
Fe1 0.0764 0.4055 0.2371
Fe2 0.1645 0.8355 0.5000
Fe3 0.5019 0.4981 0.5000
Fe4 0.5945 0.9236 0.7629
Fe5 0.6571 0.3429 0.0000
Ni1 0.3293 0.6707 0.0000
Ni2 0.8323 0.1677 0.5000
O1 0.0298 0.6856 0.1243
O2 0.1335 0.1383 0.3805
O3 0.2269 0.5613 0.6208
O4 0.3144 0.9702 0.8757
O5 0.3689 0.3813 0.1230
O6 0.4387 0.7731 0.3792
O7 0.5284 0.1949 0.6166
O8 0.6187 0.6311 0.8770
O9 0.7100 0.0651 0.1267
O10 0.8051 0.4716 0.3834
O11 0.8617 0.8665 0.6195
O12 0.9349 0.2900 0.8733

Most intense lines, 10 to 90 degrees two-theta, sorted by position:
- 2θ = 18.31°, 4.845 Å, I = 40
- 2θ = 19.95°, 4.452 Å, I = 22
- 2θ = 20.78°, 4.274 Å, I = 14
- 2θ = 23.31°, 3.817 Å, I = 35
- 2θ = 36.89°, 2.436 Å, I = 14
- 2θ = 37.05°, 2.427 Å, I = 37
- 2θ = 42.81°, 2.112 Å, I = 51
- 2θ = 43.10°, 2.099 Å, I = 100
- 2θ = 62.22°, 1.492 Å, I = 28
- 2θ = 62.55°, 1.485 Å, I = 54